1.
Calculated powder XRD pattern of MgCr2S4 for Cu Ka, from a PBE-relaxed structure.
Lines closer than 0.1° are merged.

Cell and atoms:
```
data_MgCr2S4
_chemical_formula_sum 'Mg2 Cr4 S8'
_cell_length_a 11.067
_cell_length_b 5.939
_cell_length_c 5.283
_cell_angle_alpha 90.00
_cell_angle_beta 116.53
_cell_angle_gamma 90.00
_symmetry_space_group_name_H-M 'C 1 2 1'
_symmetry_Int_Tables_number 5
_symmetry_space_group_name_Hall 'C 2y'
loop_
_atom_site_label
_atom_site_type_symbol
_atom_site_fract_x
_atom_site_fract_y
_atom_site_fract_z
Mg1 Mg 0.000 0.000 0.000
Cr1 Cr 0.136 0.401 0.404
S1 S 0.000 0.164 0.500
S2 S 0.000 0.587 0.000
S3 S 0.239 0.145 0.248
```

The 6 most intense peaks (5° ≤ 2θ ≤ 70°), low angle first:
hkl 1 1 0, 17.4°, 5.093 Å, I 65.1
hkl 2 0 -1, 19.3°, 4.594 Å, I 59.7
hkl 1 1 1, 28.6°, 3.125 Å, I 100.0
hkl 3 1 -1, 29.3°, 3.048 Å, I 82.5
hkl 2 2 -2, 46.0°, 1.973 Å, I 45.3
hkl 4 2 0, 47.8°, 1.901 Å, I 38.7


2.
Calculated powder XRD pattern of CdH2O2 for Cu Ka, from a PBE-relaxed structure.
Lines closer than 0.1° are merged.

Cell and atoms:
```
data_CdH2O2
_chemical_formula_sum 'Cd4 H8 O8'
_cell_length_a 6.074
_cell_length_b 11.359
_cell_length_c 3.272
_cell_angle_alpha 90.00
_cell_angle_beta 110.01
_cell_angle_gamma 90.00
_symmetry_space_group_name_H-M 'C 1 m 1'
_symmetry_Int_Tables_number 8
_symmetry_space_group_name_Hall 'C -2y'
loop_
_atom_site_label
_atom_site_type_symbol
_atom_site_fract_x
_atom_site_fract_y
_atom_site_fract_z
Cd1 Cd 0.000 0.138 0.000
H1 H 0.044 0.500 0.370
H2 H 0.351 0.000 0.622
H3 H 0.443 0.181 0.484
O1 O 0.032 0.500 0.661
O2 O 0.091 0.000 0.570
O3 O 0.333 0.247 0.387
```

The 6 most intense peaks (5° ≤ 2θ ≤ 70°), low angle first:
hkl 1 1 0, 17.4°, 5.100 Å, I 100.0
hkl 1 3 0, 28.3°, 3.155 Å, I 60.8
hkl 0 0 1, 29.0°, 3.079 Å, I 53.0
hkl 2 0 0, 31.3°, 2.854 Å, I 33.8
hkl 1 3 -1, 36.8°, 2.445 Å, I 32.8
hkl 0 4 1, 43.4°, 2.086 Å, I 33.4


3.
Calculated powder XRD pattern of Tm10Ti6O27 for Cu Ka, from a PBE-relaxed structure.
Lines closer than 0.1° are merged.

Cell and atoms:
```
data_Tm10Ti6O27
_chemical_formula_sum 'Tm20 Ti12 O54'
_cell_length_a 12.661
_cell_length_b 7.521
_cell_length_c 12.084
_cell_angle_alpha 90.00
_cell_angle_beta 111.87
_cell_angle_gamma 90.00
_symmetry_space_group_name_H-M 'C 1 m 1'
_symmetry_Int_Tables_number 8
_symmetry_space_group_name_Hall 'C -2y'
loop_
_atom_site_label
_atom_site_type_symbol
_atom_site_fract_x
_atom_site_fract_y
_atom_site_fract_z
Tm1 Tm 0.000 0.000 0.000
Tm2 Tm 0.005 0.264 0.267
Tm3 Tm 0.012 0.500 0.003
Tm4 Tm 0.251 0.258 0.000
Tm5 Tm 0.252 0.000 0.730
Tm6 Tm 0.257 0.279 0.496
Tm7 Tm 0.490 0.500 0.490
Ti1 Ti 0.019 0.256 0.749
Ti2 Ti 0.019 0.500 0.528
Ti3 Ti 0.262 0.000 0.252
Ti4 Ti 0.262 0.500 0.740
Ti5 Ti 0.266 0.500 0.233
O1 O 0.020 0.000 0.685
O2 O 0.049 0.221 0.909
O3 O 0.088 0.217 0.477
O4 O 0.091 0.500 0.716
O5 O 0.106 0.500 0.220
O6 O 0.180 0.500 0.559
O7 O 0.188 0.164 0.315
O8 O 0.189 0.207 0.804
O9 O 0.191 0.500 0.048
O10 O 0.197 0.000 0.080
O11 O 0.306 0.500 0.412
O12 O 0.310 0.266 0.202
O13 O 0.317 0.500 0.908
O14 O 0.340 0.307 0.705
O15 O 0.433 0.000 0.802
O16 O 0.433 0.182 0.562
O17 O 0.434 0.000 0.346
O18 O 0.441 0.235 0.065
O19 O 0.454 0.500 0.293
```

The 6 most intense peaks (5° ≤ 2θ ≤ 70°), low angle first:
hkl 2 2 -2, 29.5°, 3.031 Å, I 100.0
hkl 4 0 0, 30.4°, 2.937 Å, I 45.2
hkl 0 0 4, 31.9°, 2.803 Å, I 41.2
hkl 2 2 2, 35.2°, 2.547 Å, I 40.1
hkl 6 2 -2, 49.5°, 1.840 Å, I 30.5
hkl 2 2 -6, 51.5°, 1.773 Å, I 24.1


4.
Calculated powder XRD pattern of PrCu4Pd for Cu Ka, from a PBE-relaxed structure.
Lines closer than 0.1° are merged.

Cell and atoms:
```
data_PrCu4Pd
_chemical_formula_sum 'Pr1 Cu4 Pd1'
_cell_length_a 5.1811
_cell_length_b 5.1811
_cell_length_c 4.2317
_cell_angle_alpha 90.00
_cell_angle_beta 90.00
_cell_angle_gamma 120.00
_symmetry_space_group_name_H-M 'P -6 m 2'
_symmetry_Int_Tables_number 187
_symmetry_space_group_name_Hall 'P -6 2'
loop_
_atom_site_label
_atom_site_type_symbol
_atom_site_fract_x
_atom_site_fract_y
_atom_site_fract_z
Pr1 Pr 0.0000 0.0000 0.0000
Cu1 Cu 0.5040 0.0080 0.5000
Cu2 Cu 0.6667 0.3333 0.0000
Pd1 Pd 0.3333 0.6667 0.0000
```

The 6 most intense peaks (5° ≤ 2θ ≤ 70°), low angle first:
hkl 1 0 1, 29.0°, 3.079 Å, I 27.9
hkl 1 1 0, 34.6°, 2.591 Å, I 33.0
hkl 2 0 0, 40.2°, 2.243 Å, I 23.9
hkl 1 1 1, 40.8°, 2.209 Å, I 100.0
hkl 0 0 2, 42.7°, 2.116 Å, I 26.9
hkl 3 0 1, 66.3°, 1.410 Å, I 23.2


5.
Calculated powder XRD pattern of In5CuSe8 for Cu Ka, from a PBE-relaxed structure.
Lines closer than 0.1° are merged.

Cell and atoms:
```
data_In5CuSe8
_chemical_formula_sum 'In5 Cu1 Se8'
_cell_length_a 5.883
_cell_length_b 5.883
_cell_length_c 11.769
_cell_angle_alpha 90.00
_cell_angle_beta 90.00
_cell_angle_gamma 90.00
_symmetry_space_group_name_H-M 'P -4 2 m'
_symmetry_Int_Tables_number 111
_symmetry_space_group_name_Hall 'P -4 2'
loop_
_atom_site_label
_atom_site_type_symbol
_atom_site_fract_x
_atom_site_fract_y
_atom_site_fract_z
In1 In 0.000 0.000 0.000
In2 In 0.000 0.500 0.259
Cu1 Cu 0.500 0.500 0.500
Se1 Se 0.246 0.246 0.608
Se2 Se 0.273 0.273 0.114
```

The 6 most intense peaks (5° ≤ 2θ ≤ 70°), low angle first:
hkl 1 1 2, 26.2°, 3.397 Å, I 100.0
hkl 2 0 2, 34.1°, 2.631 Å, I 10.2
hkl 2 2 0, 43.5°, 2.080 Å, I 71.2
hkl 3 1 2, 51.5°, 1.774 Å, I 41.4
hkl 4 0 0, 63.2°, 1.471 Å, I 10.5
hkl 3 3 2, 69.7°, 1.350 Å, I 15.4


6.
Calculated powder XRD pattern of Er2Si2O7 for Cu Ka, from a PBE-relaxed structure.
Lines closer than 0.1° are merged.

Cell and atoms:
```
data_Er2Si2O7
_chemical_formula_sum 'Er4 Si4 O14'
_cell_length_a 6.858
_cell_length_b 8.998
_cell_length_c 4.774
_cell_angle_alpha 90.00
_cell_angle_beta 102.08
_cell_angle_gamma 90.00
_symmetry_space_group_name_H-M 'C 1 2/m 1'
_symmetry_Int_Tables_number 12
_symmetry_space_group_name_Hall '-C 2y'
loop_
_atom_site_label
_atom_site_type_symbol
_atom_site_fract_x
_atom_site_fract_y
_atom_site_fract_z
Er1 Er 0.000 0.192 0.000
Si1 Si 0.219 0.500 0.410
O1 O 0.000 0.500 0.500
O2 O 0.117 0.000 0.286
O3 O 0.235 0.350 0.219
```

The 6 most intense peaks (5° ≤ 2θ ≤ 70°), low angle first:
hkl 1 1 0, 16.5°, 5.377 Å, I 38.8
hkl 0 0 1, 19.0°, 4.669 Å, I 80.8
hkl 0 2 1, 27.5°, 3.240 Å, I 100.0
hkl 2 0 -1, 29.4°, 3.042 Å, I 64.8
hkl 1 3 0, 32.7°, 2.738 Å, I 50.8
hkl 2 2 0, 33.3°, 2.688 Å, I 38.2